Entry 1:
BaIr2O6: calculated X-ray diffraction stick pattern (λ = 1.5418 Å (Cu Kα)), based on a structure optimized by DFT (PBE).

Peak list (10 most intense, 15° ≤ 2θ ≤ 90°, low angle first)
- hkl 0 2 1, 2θ 18.61, rel. 20.6
- hkl 3 0 0, 2θ 22.81, rel. 23.5
- hkl 3 -2 2, 2θ 29.63, rel. 100.0
- hkl 3 2 1, 2θ 35.14, rel. 43.8
- hkl 4 -1 2, 2θ 35.23, rel. 17.7
- hkl 2 -1 3, 2θ 35.36, rel. 15.9
- hkl 6 0 0, 2θ 46.58, rel. 14.9
- hkl 7 -3 1, 2θ 48.58, rel. 20.5
- hkl 8 -5 1, 2θ 56.12, rel. 12.4
- hkl 0 6 3, 2θ 58.04, rel. 21.2

Structural model:
a b c (Å): 13.5198 13.5198 8.2156
angles (deg): 90.00 90.00 120.00
Space group R3 (No. 146, hexagonal axes)
One atom of each set of equivalent atoms:
Ba  0.2082  0.7885  0.0000 x9
Ir  0.0557  0.4508  0.3208 x9
Ir  0.1172  0.7275  0.4429 x9
O  0.0159  0.3401  0.8395 x9
O  0.0280  0.6922  0.2359 x9
O  0.0838  0.8653  0.7968 x9
O  0.0929  0.5477  0.1193 x9
O  0.2019  0.4564  0.3135 x9
O  0.2089  0.7886  0.6447 x9

---

Entry 2:
TbTmCd5: calculated X-ray diffraction stick pattern (λ = 1.5418 Å (Cu Kα)), based on a structure optimized by DFT (PBE).

Peak list (10 most intense, 15° ≤ 2θ ≤ 90°, low angle first)
- hkl 1 0 1, 2θ 21.62, rel. 20.3
- hkl 2 0 0, 2θ 35.11, rel. 54.9
- hkl 1 1 2, 2θ 35.94, rel. 100.0
- hkl 2 1 1, 2θ 41.60, rel. 7.6
- hkl 2 2 0, 2θ 50.49, rel. 19.2
- hkl 3 1 2, 2θ 63.52, rel. 36.5
- hkl 2 0 4, 2θ 65.13, rel. 15.5
- hkl 2 2 4, 2θ 76.19, rel. 9.8
- hkl 4 2 0, 2θ 84.81, rel. 8.5
- hkl 3 3 2, 2θ 85.29, rel. 8.1

Structural model:
a b c (Å): 5.1124 5.1124 6.9167
angles (deg): 90.00 90.00 90.00
Space group P4/mmm (No. 123)
One atom of each set of equivalent atoms:
Tb  0.0000  0.0000  0.0000 x1
Tm  0.5000  0.5000  0.5000 x1
Cd  0.0000  0.5000  0.2693 x4
Cd  0.5000  0.5000  0.0000 x1

---

Entry 3:
Sm3Ir7Rh2: calculated X-ray diffraction stick pattern (λ = 1.5418 Å (Cu Kα)), based on a structure optimized by DFT (PBE).

Peak list (10 most intense, 15° ≤ 2θ ≤ 90°, low angle first)
- hkl 1 0 7, 2θ 30.52, rel. 20.9
- hkl 0 1 8, 2θ 33.27, rel. 29.5
- hkl 0 2 1, 2θ 39.16, rel. 47.7
- hkl 1 1 6, 2θ 39.47, rel. 100.0
- hkl 2 0 2, 2θ 39.62, rel. 24.6
- hkl 0 0 12, 2θ 40.84, rel. 30.7
- hkl 2 0 5, 2θ 42.71, rel. 49.3
- hkl 0 3 6, 2θ 64.05, rel. 24.2
- hkl 2 2 0, 2θ 70.66, rel. 30.5
- hkl 2 2 12, 2θ 84.97, rel. 25.5

Structural model:
a b c (Å): 5.3326 5.3326 26.5169
angles (deg): 90.00 90.00 120.00
Space group R-3m (No. 166, hexagonal axes)
One atom of each set of equivalent atoms:
Sm  0.0000  0.0000  0.0000 x3
Sm  0.0000  0.0000  0.1395 x6
Ir  0.0000  0.0000  0.5000 x3
Ir  0.0009  0.5004  0.0818 x18
Rh  0.0000  0.0000  0.3327 x6